# LiTlIr2
Calculated powder X-ray diffraction pattern, Cu Kα, 1.54184 Å. Input: a structure optimized by DFT (GGA-PBE).

Structural model:
a = 2.8661 Å, b = 2.8661 Å, c = 8.4865 Å
α = 90.00°, β = 90.00°, γ = 90.00°
Atoms (fractional coordinates):
Li: 0.0000 0.0000 0.0000
Tl: 0.5000 0.5000 0.2999
Ir: 0.0000 0.0000 0.5784
Ir: 0.5000 0.5000 0.7778

Largest 10 diffraction maxima, sorted by position, 2θ = 15–90°:
2θ (°)  I_rel
20.94  18.7
32.99  12.0
37.88  100.0
42.61  14.5
44.72  33.9
45.03  11.9
53.76  11.1
63.48  18.2
65.09  11.2
77.85  25.3

# LiTlIr2
Calculated powder X-ray diffraction pattern, Cu Kα, 1.54184 Å. Input: a structure optimized by DFT (GGA-PBE).

Structural model:
a = 9.1077 Å, b = 2.9082 Å, c = 5.0275 Å
α = 90.00°, β = 98.74°, γ = 90.00°
Atoms (fractional coordinates):
Li: 0.0000 0.0000 0.0000
Li: 0.5000 0.5000 0.0000
Tl: 0.2600 0.5000 0.2305
Tl: 0.7600 0.0000 0.2305
Ir: 0.0110 0.5000 0.5623
Ir: 0.2488 0.0000 0.7257
Ir: 0.5110 0.0000 0.5623
Ir: 0.7488 0.5000 0.7257

Largest 10 diffraction maxima, sorted by position, 2θ = 15–90°:
2θ (°)  I_rel
17.85  34.8
19.72  30.7
24.58  20.9
36.15  20.2
36.42  19.4
37.95  100.0
38.64  41.3
40.07  45.5
44.24  26.1
45.29  63.1

# LiTm3Ir2
Calculated powder X-ray diffraction pattern, Cu Kα, 1.54184 Å. Input: a structure optimized by DFT (GGA-PBE).

Structural model:
a = 4.8093 Å, b = 4.8093 Å, c = 11.9102 Å
α = 90.00°, β = 90.00°, γ = 120.00°
Atoms (fractional coordinates):
Li: 0.3333 0.6667 0.1700
Li: 0.6667 0.3333 0.8300
Tm: 0.0000 0.0000 0.2566
Tm: 0.0000 0.0000 0.7434
Tm: 0.3333 0.6667 0.4220
Tm: 0.3333 0.6667 0.9165
Tm: 0.6667 0.3333 0.0835
Tm: 0.6667 0.3333 0.5780
Ir: 0.0000 0.0000 0.0000
Ir: 0.0000 0.0000 0.5000
Ir: 0.3333 0.6667 0.6721
Ir: 0.6667 0.3333 0.3279

Largest 10 diffraction maxima, sorted by position, 2θ = 15–90°:
2θ (°)  I_rel
22.62  20.2
26.11  7.5
37.12  100.0
37.40  98.9
53.71  34.9
66.72  18.2
67.28  35.6
67.46  17.9
79.07  11.4
79.76  11.3

# LiTm3Ir8
Calculated powder X-ray diffraction pattern, Cu Kα, 1.54184 Å. Input: a structure optimized by DFT (GGA-PBE).

Structural model:
a = 9.1751 Å, b = 9.1751 Å, c = 9.1751 Å
α = 33.53°, β = 33.53°, γ = 33.53°
Atoms (fractional coordinates):
Li: 0.0000 0.0000 0.0000
Tm: 0.3676 0.3676 0.3676
Tm: 0.4963 0.4963 0.4963
Tm: 0.8783 0.8783 0.8783
Ir: 0.1845 0.1845 0.1845
Ir: 0.4338 0.9346 0.9346
Ir: 0.4350 0.4350 0.9336
Ir: 0.4350 0.9336 0.4350
Ir: 0.6842 0.6842 0.6842
Ir: 0.9336 0.4350 0.4350
Ir: 0.9346 0.4338 0.9346
Ir: 0.9346 0.9346 0.4338

Largest 10 diffraction maxima, sorted by position, 2θ = 15–90°:
2θ (°)  I_rel
20.54  24.5
33.86  15.9
39.93  100.0
41.79  54.7
48.64  11.9
53.33  6.3
64.68  32.2
71.24  29.7
84.93  11.5
86.14  21.5

# LiUIr4
Calculated powder X-ray diffraction pattern, Cu Kα, 1.54184 Å. Input: a structure optimized by DFT (GGA-PBE).

Structural model:
a = 5.2457 Å, b = 5.2457 Å, c = 5.2457 Å
α = 60.00°, β = 60.00°, γ = 60.00°
Atoms (fractional coordinates):
Li: 0.0000 0.0000 0.0000
U: 0.7500 0.7500 0.7500
Ir: 0.3742 0.3742 0.3742
Ir: 0.3742 0.3742 0.8774
Ir: 0.3742 0.8774 0.3742
Ir: 0.8774 0.3742 0.3742

Largest 10 diffraction maxima, sorted by position, 2θ = 15–90°:
2θ (°)  I_rel
20.74  38.9
23.99  15.6
34.19  13.3
40.32  100.0
42.20  57.2
49.12  12.2
65.36  33.3
72.01  28.7
85.91  12.3
87.15  22.8

# LiVIr3
Calculated powder X-ray diffraction pattern, Cu Kα, 1.54184 Å. Input: a structure optimized by DFT (GGA-PBE).

Structural model:
a = 4.0881 Å, b = 4.0881 Å, c = 4.0881 Å
α = 90.00°, β = 90.00°, γ = 90.00°
Atoms (fractional coordinates):
Li: 0.0000 0.0000 0.0000
V: 0.5000 0.5000 0.5000
Ir: 0.0000 0.0000 0.5000
Ir: 0.0000 0.5000 0.0000
Ir: 0.5000 0.0000 0.0000

Largest 10 diffraction maxima, sorted by position, 2θ = 15–90°:
2θ (°)  I_rel
21.74  16.8
30.93  12.3
38.13  100.0
44.32  50.9
49.88  8.1
55.02  5.3
64.47  33.5
68.91  4.0
77.43  38.5
81.57  11.6

# Li15Zn6Ir
Calculated powder X-ray diffraction pattern, Cu Kα, 1.54184 Å. Input: a structure optimized by DFT (GGA-PBE).

Structural model:
a = 6.6876 Å, b = 7.3089 Å, c = 7.5860 Å
α = 96.71°, β = 101.14°, γ = 91.00°
Atoms (fractional coordinates):
Li: 0.0000 0.0000 0.0000
Li: 0.0000 0.5000 0.5000
Li: 0.0959 0.3380 0.8939
Li: 0.1260 0.1479 0.3784
Li: 0.2510 0.4571 0.2309
Li: 0.2537 0.0178 0.7478
Li: 0.3312 0.8224 0.1707
Li: 0.3998 0.6798 0.5810
Li: 0.5000 0.0000 0.5000
Li: 0.6002 0.3202 0.4190
Li: 0.6688 0.1776 0.8293
Li: 0.7463 0.9822 0.2522
Li: 0.7490 0.5429 0.7691
Li: 0.8740 0.8521 0.6216
Li: 0.9041 0.6620 0.1061
Zn: 0.1814 0.6713 0.8469
Zn: 0.3624 0.3528 0.6736
Zn: 0.4309 0.1644 0.0780
Zn: 0.5691 0.8356 0.9220
Zn: 0.6376 0.6472 0.3264
Zn: 0.8186 0.3287 0.1531
Ir: 0.5000 0.5000 0.0000

Largest 10 diffraction maxima, sorted by position, 2θ = 15–90°:
2θ (°)  I_rel
16.22  100.0
19.78  45.5
28.43  23.1
28.77  27.3
39.79  33.9
40.16  40.8
40.22  35.1
40.53  32.8
42.57  27.0
44.35  23.3

# Li2Zn5Ir2
Calculated powder X-ray diffraction pattern, Cu Kα, 1.54184 Å. Input: a structure optimized by DFT (GGA-PBE).

Structural model:
a = 7.8957 Å, b = 4.3517 Å, c = 4.3517 Å
α = 60.10°, β = 90.00°, γ = 90.00°
Atoms (fractional coordinates):
Li: 0.0000 0.0000 0.0000
Li: 0.5000 0.3332 0.3332
Zn: 0.0000 0.6661 0.6661
Zn: 0.1773 0.3333 0.3333
Zn: 0.3376 0.0012 0.0012
Zn: 0.6624 0.0012 0.0012
Zn: 0.8227 0.3333 0.3333
Ir: 0.3197 0.6674 0.6674
Ir: 0.6803 0.6674 0.6674

Largest 10 diffraction maxima, sorted by position, 2θ = 15–90°:
2θ (°)  I_rel
22.52  28.5
23.60  70.2
26.19  23.2
34.06  19.9
41.48  100.0
41.86  89.2
47.71  23.5
54.72  31.1
60.40  29.9
75.90  20.1